This entry pairs a crystal structure of MgNiRh6 with its theoretical powder X-ray diffraction pattern. Radiation: Cu Ka. Structure: the PBE geometry in Alexandria.
No peak broadening, texture or thermal motion is included.

The 6 most intense peaks (2θ = 5–70°), by intensity:
Position (°2θ)	I (rel.)
40.8	100
47.4	32
69.3	20
47.5	16
69.4	10
26.0	9

Structural model:
```
16
Lattice="8.5764 0.0000 0.0000 0.0000 3.8277 0.0000 -3.4380 0.0000 6.8604" Properties=species:S:1:pos:R:3 pbc="T T T"
Mg 0.0000 0.0000 0.0000
Mg 4.2882 1.9138 0.0000
Ni -1.7190 0.0000 3.4302
Ni 2.5692 1.9138 3.4302
Rh -2.5345 1.9138 5.0859
Rh -0.8657 0.0000 5.9736
Rh 0.8492 0.0000 2.5877
Rh 0.0010 1.9138 4.2727
Rh 1.7159 1.9138 0.8868
Rh 3.3847 0.0000 1.7745
Rh 1.7537 0.0000 5.0859
Rh 3.4225 1.9138 5.9736
Rh 4.2892 0.0000 4.2727
Rh 5.1374 1.9138 2.5877
Rh 6.0041 0.0000 0.8868
Rh 7.6729 1.9138 1.7745
```

=====

This entry pairs a crystal structure of Dy6Ho3Pu with its theoretical powder X-ray diffraction pattern. Radiation: Cu Ka. Structure: the PBE geometry in Alexandria.
No peak broadening, texture or thermal motion is included.

The 6 most intense peaks (2θ = 5–70°), by intensity:
Position (°2θ)	I (rel.)
31.4	100
33.1	53
29.8	45
30.5	38
29.5	34
42.2	20

Structural model:
```
10
Lattice="4.5980 -5.0205 0.0000 4.5980 5.0205 0.0000 -0.0111 0.0000 6.6886" Properties=species:S:1:pos:R:3 pbc="T T T"
Dy 0.0000 0.0000 0.0000
Dy 2.7665 2.4730 1.3414
Dy 3.1331 0.9766 5.0453
Dy 6.4184 2.4730 5.3472
Dy 6.0519 0.9766 1.6433
Dy 4.5925 -3.3910 3.3443
Ho 2.7328 -0.7118 2.2244
Ho 4.5980 -1.7508 0.0000
Ho 6.4522 -0.7118 4.4642
Pu 4.5925 3.5550 3.3443
```

=====

This entry pairs a crystal structure of La4Sm2DyMg with its theoretical powder X-ray diffraction pattern. Radiation: Cu Ka. Structure: the PBE geometry in Alexandria.
No peak broadening, texture or thermal motion is included.

The 6 most intense peaks (2θ = 5–70°), by intensity:
Position (°2θ)	I (rel.)
30.2	100
34.7	34
59.5	29
50.4	24
35.4	16
60.3	14

Structural model:
```
8
Lattice="5.1632 0.0000 0.0000 0.0000 5.1632 0.0000 0.0000 0.0000 10.1488" Properties=species:S:1:pos:R:3 pbc="T T T"
La 0.0000 2.5816 2.4989
La 0.0000 2.5816 7.6498
La 2.5816 0.0000 2.4989
La 2.5816 0.0000 7.6498
Sm 0.0000 0.0000 0.0000
Sm 2.5816 2.5816 5.0744
Dy 0.0000 0.0000 5.0744
Mg 2.5816 2.5816 0.0000
```

=====

This entry pairs a crystal structure of Pu2PtRh3 with its theoretical powder X-ray diffraction pattern. Radiation: Cu Ka. Structure: the PBE geometry in Alexandria.
No peak broadening, texture or thermal motion is included.

The 6 most intense peaks (2θ = 5–70°), by intensity:
Position (°2θ)	I (rel.)
39.4	100
33.4	51
63.8	32
41.2	17
59.7	13
59.8	7

Structural model:
```
6
Lattice="2.6834 1.5492 4.3698 -2.6834 1.5492 4.3698 0.0000 -3.0985 4.3698" Properties=species:S:1:pos:R:3 pbc="T T T"
Pu 0.0000 0.0000 1.6253
Pu 0.0000 0.0000 11.4840
Pt 0.0000 0.0000 6.5547
Rh -1.3417 -0.7746 4.3698
Rh -1.3417 0.7746 8.7395
Rh 0.0000 1.5492 4.3698
```